MnCo2ReO: computed powder diffraction line list (Cu Ka), based on a GGA+U-relaxed structure.

Largest 12 diffraction maxima, by angle, 2θ = 10–90°:
two_theta	Rel. int.	h k l
16.81	81	0 0 1
19.90	100	1 0 0
26.16	43	1 0 1
34.00	39	0 0 2
39.71	35	1 0 2
40.44	47	2 0 0
44.08	29	2 0 1
45.46	24	2 1 0
48.80	16	2 1 1
53.83	40	2 0 2
57.97	23	2 1 2
69.43	18	2 2 2

Cell and atoms:
abc: 4.462 4.462 5.273
angles: 90.00 90.00 90.00
Space group P4/mmm (No. 123)
Unique sites:
Mn1 0.000 0.000 0.000 (multiplicity 1)
Co1 0.000 0.500 0.500 (multiplicity 2)
Re1 0.000 0.000 0.500 (multiplicity 1)
O1 0.500 0.500 0.000 (multiplicity 1)